[1]
In3H4Ir2: calculated powder diffraction line list (CuKα), based on the PBE geometry in Alexandria.
No peak broadening, texture or thermal motion is included.

Structure:
```
data_In3H4Ir2
_chemical_formula_sum 'In6 H8 Ir4'
_space_group_name_H-M_alt 'C 1 2/m 1'
_space_group_IT_number 12
_cell_length_a 9.6719
_cell_length_b 3.3565
_cell_length_c 7.6049
_cell_angle_alpha 90.00
_cell_angle_beta 95.20
_cell_angle_gamma 90.00
loop_
_space_group_symop_operation_xyz
'x,y,z'
'-x,-y,-z'
'-x,y,-z'
'x,-y,z'
'x+1/2,y+1/2,z'
'-x+1/2,-y+1/2,-z'
'-x+1/2,y+1/2,-z'
'x+1/2,-y+1/2,z'
loop_
_atom_site_label
_atom_site_type_symbol
_atom_site_fract_x
_atom_site_fract_y
_atom_site_fract_z
In1 In 0.0000 0.0000 0.0000
In2 In 0.1656 0.5000 0.6452
H1 H 0.0710 0.0000 0.3413
H2 H 0.2232 0.5000 0.1287
Ir1 Ir 0.1037 0.5000 0.2691
```

The 10 most intense peaks (10° ≤ 2θ ≤ 90°), most intense first:
2.396 Å, I = 100, hkl 1 1 2; 4.242 Å, I = 91, hkl 2 0 -1; 2.321 Å, I = 84, hkl 3 1 0; 1.767 Å, I = 59, hkl 3 1 -3; 3.170 Å, I = 56, hkl 1 1 0; 2.357 Å, I = 48, hkl 4 0 -1; 3.787 Å, I = 47, hkl 0 0 2; 2.893 Å, I = 42, hkl 1 1 1; 1.953 Å, I = 40, hkl 4 0 2; 1.273 Å, I = 40, hkl 7 1 -1

=====

[2]
InH4Ir: calculated powder diffraction line list (CuKα), based on the PBE geometry in Alexandria.
No peak broadening, texture or thermal motion is included.

Structure:
```
data_InH4Ir
_chemical_formula_sum 'In4 H16 Ir4'
_space_group_name_H-M_alt 'C m c m'
_space_group_IT_number 63
_space_group_name_Hall '-C 2c 2'
_cell_length_a 3.2351
_cell_length_b 9.2778
_cell_length_c 8.1487
_cell_angle_alpha 90.00
_cell_angle_beta 90.00
_cell_angle_gamma 90.00
loop_
_atom_site_label
_atom_site_type_symbol
_atom_site_fract_x
_atom_site_fract_y
_atom_site_fract_z
In1 In 0.0000 0.0000 0.0000
H1 H 0.0000 0.1861 0.2500
H2 H 0.0000 0.2530 0.6212
H3 H 0.0000 0.4303 0.2500
Ir1 Ir 0.0000 0.3898 0.7500
```

The 10 most intense peaks (10° ≤ 2θ ≤ 90°), most intense first:
2.444 Å, I = 100, hkl 1 1 2; 4.031 Å, I = 91, hkl 0 2 1; 4.639 Å, I = 41, hkl 0 2 0; 2.016 Å, I = 35, hkl 0 4 2; 2.860 Å, I = 32, hkl 1 1 1; 1.262 Å, I = 31, hkl 1 5 4; 2.156 Å, I = 27, hkl 1 3 1; 2.235 Å, I = 26, hkl 1 3 0; 2.344 Å, I = 22, hkl 0 2 3; 2.037 Å, I = 20, hkl 0 0 4

=====

[3]
ScInH6Ir2: calculated powder diffraction line list (CuKα), based on the PBE geometry in Alexandria.
No peak broadening, texture or thermal motion is included.

Structure:
```
data_ScInH6Ir2
_chemical_formula_sum 'Sc4 In4 H24 Ir8'
_space_group_name_H-M_alt 'C 1 2/c 1'
_space_group_IT_number 15
_cell_length_a 6.3567
_cell_length_b 8.3192
_cell_length_c 8.0141
_cell_angle_alpha 90.00
_cell_angle_beta 106.76
_cell_angle_gamma 90.00
loop_
_space_group_symop_operation_xyz
'x,y,z'
'-x,-y,-z'
'-x,y,-z+1/2'
'x,-y,z+1/2'
'x+1/2,y+1/2,z'
'-x+1/2,-y+1/2,-z'
'-x+1/2,y+1/2,-z+1/2'
'x+1/2,-y+1/2,z+1/2'
loop_
_atom_site_label
_atom_site_type_symbol
_atom_site_fract_x
_atom_site_fract_y
_atom_site_fract_z
Sc1 Sc 0.0000 0.0534 0.2500
In1 In 0.0000 0.3492 0.7500
H1 H 0.0189 0.1635 0.5247
H2 H 0.1524 0.2762 0.1652
H3 H 0.2155 0.4984 0.0129
Ir1 Ir 0.2275 0.3697 0.3580
```

The 10 most intense peaks (10° ≤ 2θ ≤ 90°), most intense first:
3.437 Å, I = 100, hkl 1 1 -2; 2.196 Å, I = 88, hkl 2 2 1; 3.759 Å, I = 75, hkl 1 1 1; 2.235 Å, I = 72, hkl 1 3 -2; 2.515 Å, I = 69, hkl 2 2 -1; 2.079 Å, I = 69, hkl 0 4 0; 3.837 Å, I = 47, hkl 0 0 2; 4.659 Å, I = 38, hkl 1 1 -1; 3.657 Å, I = 35, hkl 0 2 1; 2.179 Å, I = 34, hkl 0 2 3

=====

[4]
KInH: calculated powder diffraction line list (CuKα), based on the PBE geometry in Alexandria.
No peak broadening, texture or thermal motion is included.

Structure:
```
data_KInH
_chemical_formula_sum 'K1 In1 H1'
_space_group_name_H-M_alt 'P 4 m m'
_space_group_IT_number 99
_cell_length_a 3.5183
_cell_length_b 3.5183
_cell_length_c 5.6615
_cell_angle_alpha 90.00
_cell_angle_beta 90.00
_cell_angle_gamma 90.00
loop_
_space_group_symop_operation_xyz
'x,y,z'
'-y,x,z'
'-x,-y,z'
'y,-x,z'
'-x,y,z'
'y,x,z'
'x,-y,z'
'-y,-x,z'
loop_
_atom_site_label
_atom_site_type_symbol
_atom_site_fract_x
_atom_site_fract_y
_atom_site_fract_z
K1 K 0.0000 0.0000 0.0000
In1 In 0.5000 0.5000 0.4810
H1 H 0.5000 0.5000 0.8238
```

The 10 most intense peaks (10° ≤ 2θ ≤ 90°), most intense first:
2.988 Å, I = 100, hkl 1 0 1; 2.488 Å, I = 31, hkl 1 1 0; 5.662 Å, I = 25, hkl 0 0 1; 1.869 Å, I = 24, hkl 1 1 2; 1.516 Å, I = 24, hkl 2 1 1; 2.831 Å, I = 21, hkl 0 0 2; 3.518 Å, I = 18, hkl 1 0 0; 1.663 Å, I = 16, hkl 1 0 3; 1.494 Å, I = 11, hkl 2 0 2; 2.278 Å, I = 11, hkl 1 1 1

=====

[5]
KInH4: calculated powder diffraction line list (CuKα), based on the PBE geometry in Alexandria.
No peak broadening, texture or thermal motion is included.

Structure:
```
data_KInH4
_chemical_formula_sum 'K4 In4 H16'
_space_group_name_H-M_alt 'P 1 21/c 1'
_space_group_IT_number 14
_cell_length_a 7.3234
_cell_length_b 7.7365
_cell_length_c 9.1437
_cell_angle_alpha 90.00
_cell_angle_beta 127.48
_cell_angle_gamma 90.00
loop_
_space_group_symop_operation_xyz
'x,y,z'
'-x,-y,-z'
'-x,y+1/2,-z+1/2'
'x,-y+1/2,z+1/2'
loop_
_atom_site_label
_atom_site_type_symbol
_atom_site_fract_x
_atom_site_fract_y
_atom_site_fract_z
K1 K 0.1753 0.1587 0.2777
In1 In 0.3053 0.6682 0.1933
H1 H 0.1059 0.6564 0.6138
H2 H 0.1976 0.5017 0.2550
H3 H 0.3112 0.6120 0.0069
H4 H 0.4087 0.2265 0.1232
```

The 10 most intense peaks (10° ≤ 2θ ≤ 90°), most intense first:
3.413 Å, I = 100, hkl 0 2 1; 3.233 Å, I = 91, hkl 2 1 -2; 3.628 Å, I = 56, hkl 0 0 2; 4.646 Å, I = 52, hkl 1 1 0; 1.937 Å, I = 34, hkl 2 3 -3; 3.285 Å, I = 32, hkl 0 1 2; 4.571 Å, I = 31, hkl 1 0 -2; 2.085 Å, I = 29, hkl 2 3 -1; 1.765 Å, I = 28, hkl 0 1 4; 2.720 Å, I = 26, hkl 2 1 0